(1)
Computed powder X-ray diffraction pattern of Na3Cr for λ = 1.5418 Å (Cu Kα), from a DFT-relaxed cell (GGA-PBE, the Materials Project).
No peak broadening, texture or thermal motion is included.

Atomic structure:
```
data_Na3Cr
_cell_length_a 4.9570
_cell_length_b 4.9570
_cell_length_c 9.6594
_cell_angle_alpha 90.00
_cell_angle_beta 90.00
_cell_angle_gamma 90.00
_space_group_name_H-M_alt 'I 4/m m m'
_space_group_IT_number 139
_space_group_name_Hall '-I 4 2'
loop_
_atom_site_label
_atom_site_type_symbol
_atom_site_fract_x
_atom_site_fract_y
_atom_site_fract_z
Na1 Na 0.0000 0.0000 0.0000
Na2 Na 0.0000 0.5000 0.2500
Cr1 Cr 0.0000 0.0000 0.5000
```

Most intense lines, 10 to 90 degrees two-theta, in order of falling intensity:
- hkl 1 1 2, 2.837 Å, 2θ = 31.54°, rel. 100
- hkl 2 0 0, 2.479 Å, 2θ = 36.24°, rel. 34
- hkl 3 1 2, 1.491 Å, 2θ = 62.27°, rel. 24
- hkl 2 0 4, 1.730 Å, 2θ = 52.94°, rel. 21
- hkl 1 0 1, 4.410 Å, 2θ = 20.13°, rel. 18
- hkl 0 0 4, 2.415 Å, 2θ = 37.23°, rel. 16



(2)
Computed powder X-ray diffraction pattern of NaCrP2S6 for λ = 1.5418 Å (Cu Kα), from a DFT-relaxed cell (GGA-PBE, the Materials Project).
No peak broadening, texture or thermal motion is included.

Atomic structure:
```
data_NaCrP2S6
_cell_length_a 7.2419
_cell_length_b 5.9658
_cell_length_c 22.4244
_cell_angle_alpha 90.00
_cell_angle_beta 107.32
_cell_angle_gamma 90.00
_space_group_name_H-M_alt 'P 1 21/c 1'
_space_group_IT_number 14
loop_
_space_group_symop_operation_xyz
'x,y,z'
'-x,-y,-z'
'-x,y+1/2,-z+1/2'
'x,-y+1/2,z+1/2'
loop_
_atom_site_label
_atom_site_type_symbol
_atom_site_fract_x
_atom_site_fract_y
_atom_site_fract_z
Na1 Na 0.1757 0.0776 0.2191
Cr1 Cr 0.4394 0.7484 0.9595
P1 P 0.1800 0.2419 0.8902
P2 P 0.4629 0.2455 0.3710
S1 S 0.0307 0.6217 0.1780
S2 S 0.1299 0.5888 0.4033
S3 S 0.2591 0.0777 0.4768
S4 S 0.3682 0.5775 0.5488
S5 S 0.4491 0.0992 0.7920
S6 S 0.4766 0.0888 0.6276
```

Most intense lines, 10 to 90 degrees two-theta, in order of falling intensity:
- hkl 1 0 -2, 6.803 Å, 2θ = 13.01°, rel. 100
- hkl 1 0 0, 6.914 Å, 2θ = 12.80°, rel. 78
- hkl 1 2 -1, 2.758 Å, 2θ = 32.46°, rel. 46
- hkl 1 1 5, 2.844 Å, 2θ = 31.46°, rel. 33
- hkl 2 0 -4, 3.402 Å, 2θ = 26.20°, rel. 26
- hkl 2 1 3, 2.536 Å, 2θ = 35.40°, rel. 24



(3)
Computed powder X-ray diffraction pattern of NaCrP2S6 for λ = 1.5418 Å (Cu Kα), from a DFT-relaxed cell (GGA-PBE, the Materials Project).
No peak broadening, texture or thermal motion is included.

Atomic structure:
```
data_NaCrP2S6
_cell_length_a 8.2161
_cell_length_b 11.2005
_cell_length_c 20.9722
_cell_angle_alpha 90.00
_cell_angle_beta 90.00
_cell_angle_gamma 90.00
_space_group_name_H-M_alt 'F d d 2'
_space_group_IT_number 43
_space_group_name_Hall 'F 2 -2d'
loop_
_atom_site_label
_atom_site_type_symbol
_atom_site_fract_x
_atom_site_fract_y
_atom_site_fract_z
Na1 Na 0.0000 0.0000 0.0000
Cr1 Cr 0.0000 0.0000 0.3354
P1 P 0.1111 0.4411 0.6741
S1 S 0.0081 0.2827 0.8472
S2 S 0.0308 0.2397 0.5084
S3 S 0.0346 0.2687 0.6644
```

Most intense lines, 10 to 90 degrees two-theta, in order of falling intensity:
- hkl 1 1 1, 6.317 Å, 2θ = 14.02°, rel. 100
- hkl 2 0 6, 2.662 Å, 2θ = 33.67°, rel. 44
- hkl 0 4 0, 2.800 Å, 2θ = 31.96°, rel. 25
- hkl 2 4 6, 1.929 Å, 2θ = 47.10°, rel. 23
- hkl 1 1 5, 3.544 Å, 2θ = 25.13°, rel. 11
- hkl 2 2 0, 3.312 Å, 2θ = 26.92°, rel. 11



(4)
Computed powder X-ray diffraction pattern of NaCr2S4 for λ = 1.5418 Å (Cu Kα), from a DFT-relaxed cell (GGA-PBE, the Materials Project).
No peak broadening, texture or thermal motion is included.

Atomic structure:
```
data_NaCr2S4
_cell_length_a 10.9623
_cell_length_b 3.5308
_cell_length_c 12.7643
_cell_angle_alpha 90.00
_cell_angle_beta 90.00
_cell_angle_gamma 90.00
_space_group_name_H-M_alt 'P n m a'
_space_group_IT_number 62
loop_
_space_group_symop_operation_xyz
'x,y,z'
'-x,-y,-z'
'-x+1/2,-y,z+1/2'
'x+1/2,y,-z+1/2'
'x+1/2,-y+1/2,-z+1/2'
'-x+1/2,y+1/2,z+1/2'
'-x,y+1/2,-z'
'x,-y+1/2,z'
loop_
_atom_site_label
_atom_site_type_symbol
_atom_site_fract_x
_atom_site_fract_y
_atom_site_fract_z
Na1 Na 0.2393 0.2500 0.1654
Cr1 Cr 0.0589 0.2500 0.3869
Cr2 Cr 0.0831 0.2500 0.8975
S1 S 0.0279 0.7500 0.7851
S2 S 0.0810 0.2500 0.5707
S3 S 0.1151 0.7500 0.0201
S4 S 0.2014 0.7500 0.3528
```

Most intense lines, 10 to 90 degrees two-theta, in order of falling intensity:
- hkl 2 0 0, 5.481 Å, 2θ = 16.17°, rel. 100
- hkl 3 1 1, 2.489 Å, 2θ = 36.08°, rel. 85
- hkl 1 1 2, 2.972 Å, 2θ = 30.07°, rel. 71
- hkl 2 1 4, 2.173 Å, 2θ = 41.55°, rel. 68
- hkl 4 1 4, 1.792 Å, 2θ = 50.97°, rel. 67
- hkl 1 1 3, 2.637 Å, 2θ = 33.99°, rel. 66



(5)
Computed powder X-ray diffraction pattern of NaCr2S4 for λ = 1.5418 Å (Cu Kα), from a DFT-relaxed cell (GGA-PBE, the Materials Project).
No peak broadening, texture or thermal motion is included.

Atomic structure:
```
data_NaCr2S4
_cell_length_a 6.4165
_cell_length_b 8.0398
_cell_length_c 12.2672
_cell_angle_alpha 81.44
_cell_angle_beta 86.25
_cell_angle_gamma 89.41
_space_group_name_H-M_alt 'P -1'
_space_group_IT_number 2
loop_
_space_group_symop_operation_xyz
'x,y,z'
'-x,-y,-z'
loop_
_atom_site_label
_atom_site_type_symbol
_atom_site_fract_x
_atom_site_fract_y
_atom_site_fract_z
Na1 Na 0.1387 0.2079 0.1814
Na2 Na 0.2560 0.3692 0.5057
Cr1 Cr 0.1530 0.7090 0.2104
Cr2 Cr 0.2370 0.8953 0.4995
Cr3 Cr 0.3580 0.5528 0.7943
Cr4 Cr 0.3669 0.0567 0.7930
S1 S 0.0799 0.1214 0.4008
S2 S 0.1504 0.6920 0.3858
S3 S 0.1834 0.2909 0.8439
S4 S 0.2736 0.7903 0.8614
S5 S 0.3285 0.5077 0.1431
S6 S 0.3307 0.9288 0.1301
S7 S 0.3589 0.6367 0.6193
S8 S 0.4226 0.0602 0.6109
```

Most intense lines, 10 to 90 degrees two-theta, in order of falling intensity:
- hkl 0 0 3, 4.035 Å, 2θ = 22.03°, rel. 100
- hkl 1 2 0, 3.378 Å, 2θ = 26.39°, rel. 47
- hkl 1 2 2, 3.176 Å, 2θ = 28.10°, rel. 43
- hkl 1 -1 0, 4.987 Å, 2θ = 17.79°, rel. 35
- hkl 0 4 1, 2.010 Å, 2θ = 45.12°, rel. 34
- hkl 3 -2 0, 1.880 Å, 2θ = 48.42°, rel. 32



(6)
Computed powder X-ray diffraction pattern of NaCrS2 for λ = 1.5418 Å (Cu Kα), from a DFT-relaxed cell (GGA-PBE, the Materials Project).
No peak broadening, texture or thermal motion is included.

Atomic structure:
```
data_NaCrS2
_cell_length_a 3.5942
_cell_length_b 3.5942
_cell_length_c 19.4533
_cell_angle_alpha 90.00
_cell_angle_beta 90.00
_cell_angle_gamma 120.00
_space_group_name_H-M_alt 'R -3 m'
_space_group_IT_number 166
_space_group_name_Hall '-R 3 2"'
loop_
_atom_site_label
_atom_site_type_symbol
_atom_site_fract_x
_atom_site_fract_y
_atom_site_fract_z
Na1 Na 0.0000 0.0000 0.0000
Cr1 Cr 0.0000 0.0000 0.5000
S1 S 0.0000 0.0000 0.2325
```

Most intense lines, 10 to 90 degrees two-theta, in order of falling intensity:
- hkl 1 0 4, 2.622 Å, 2θ = 34.20°, rel. 100
- hkl 0 0 3, 6.484 Å, 2θ = 13.66°, rel. 49
- hkl 1 1 0, 1.797 Å, 2θ = 50.81°, rel. 32
- hkl 0 1 8, 1.916 Å, 2θ = 47.44°, rel. 28
- hkl 0 2 4, 1.482 Å, 2θ = 62.68°, rel. 14
- hkl 1 0 7, 2.073 Å, 2θ = 43.66°, rel. 14



(7)
Computed powder X-ray diffraction pattern of NaCr2S4 for λ = 1.5418 Å (Cu Kα), from a DFT-relaxed cell (GGA-PBE, the Materials Project).
No peak broadening, texture or thermal motion is included.

Atomic structure:
```
data_NaCr2S4
_cell_length_a 14.3824
_cell_length_b 3.3796
_cell_length_c 5.6320
_cell_angle_alpha 90.00
_cell_angle_beta 108.09
_cell_angle_gamma 90.00
_space_group_name_H-M_alt 'C 1 2/m 1'
_space_group_IT_number 12
loop_
_space_group_symop_operation_xyz
'x,y,z'
'-x,-y,-z'
'-x,y,-z'
'x,-y,z'
'x+1/2,y+1/2,z'
'-x+1/2,-y+1/2,-z'
'-x+1/2,y+1/2,-z'
'x+1/2,-y+1/2,z'
loop_
_atom_site_label
_atom_site_type_symbol
_atom_site_fract_x
_atom_site_fract_y
_atom_site_fract_z
Na1 Na 0.0000 0.0000 0.0000
Cr1 Cr 0.2469 0.5000 0.7035
S1 S 0.1408 0.0000 0.5006
S2 S 0.1631 0.5000 0.0158
```

Most intense lines, 10 to 90 degrees two-theta, in order of falling intensity:
- hkl 2 0 0, 6.836 Å, 2θ = 12.95°, rel. 100
- hkl 3 1 1, 2.258 Å, 2θ = 39.92°, rel. 41
- hkl 1 1 1, 2.709 Å, 2θ = 33.06°, rel. 27
- hkl 4 0 -2, 2.521 Å, 2θ = 35.61°, rel. 15
- hkl 6 0 -2, 2.084 Å, 2θ = 43.43°, rel. 12
- hkl 7 1 -1, 1.753 Å, 2θ = 52.16°, rel. 11



(8)
Computed powder X-ray diffraction pattern of NaCrS2 for λ = 1.5418 Å (Cu Kα), from a DFT-relaxed cell (GGA-PBE, the Materials Project).
No peak broadening, texture or thermal motion is included.

Atomic structure:
```
data_NaCrS2
_cell_length_a 3.5769
_cell_length_b 3.5769
_cell_length_c 6.6109
_cell_angle_alpha 90.00
_cell_angle_beta 90.00
_cell_angle_gamma 120.00
_space_group_name_H-M_alt 'P -3 m 1'
_space_group_IT_number 164
_space_group_name_Hall '-P 3 2"'
loop_
_atom_site_label
_atom_site_type_symbol
_atom_site_fract_x
_atom_site_fract_y
_atom_site_fract_z
Na1 Na 0.0000 0.0000 0.0000
Cr1 Cr 0.0000 0.0000 0.5000
S1 S 0.3333 0.6667 0.3044
```

Most intense lines, 10 to 90 degrees two-theta, in order of falling intensity:
- hkl 1 0 2, 2.260 Å, 2θ = 39.88°, rel. 100
- hkl 0 0 1, 6.611 Å, 2θ = 13.39°, rel. 65
- hkl 1 0 1, 2.805 Å, 2θ = 31.90°, rel. 52
- hkl 1 1 0, 1.788 Å, 2θ = 51.07°, rel. 39
- hkl 1 0 0, 3.098 Å, 2θ = 28.82°, rel. 21
- hkl 0 2 2, 1.403 Å, 2θ = 66.69°, rel. 19



(9)
Computed powder X-ray diffraction pattern of NaCr2S4 for λ = 1.5418 Å (Cu Kα), from a DFT-relaxed cell (GGA-PBE, the Materials Project).
No peak broadening, texture or thermal motion is included.

Atomic structure:
```
data_NaCr2S4
_cell_length_a 5.9034
_cell_length_b 3.4573
_cell_length_c 6.8373
_cell_angle_alpha 90.00
_cell_angle_beta 90.10
_cell_angle_gamma 90.00
_space_group_name_H-M_alt 'P 1 2/m 1'
_space_group_IT_number 10
loop_
_space_group_symop_operation_xyz
'x,y,z'
'-x,-y,-z'
'-x,y,-z'
'x,-y,z'
loop_
_atom_site_label
_atom_site_type_symbol
_atom_site_fract_x
_atom_site_fract_y
_atom_site_fract_z
Na1 Na 0.0000 0.0000 0.0000
Cr1 Cr 0.0000 0.0000 0.5000
Cr2 Cr 0.5000 0.5000 0.5000
S1 S 0.1664 0.5000 0.6954
S2 S 0.3342 0.0000 0.3065
```

Most intense lines, 10 to 90 degrees two-theta, in order of falling intensity:
- hkl 0 0 1, 6.837 Å, 2θ = 12.95°, rel. 100
- hkl 1 1 2, 2.247 Å, 2θ = 40.13°, rel. 49
- hkl 1 1 1, 2.734 Å, 2θ = 32.76°, rel. 35
- hkl 2 0 -2, 2.235 Å, 2θ = 40.35°, rel. 24
- hkl 3 1 0, 1.710 Å, 2θ = 53.59°, rel. 20
- hkl 2 0 -1, 2.711 Å, 2θ = 33.04°, rel. 17



(10)
Computed powder X-ray diffraction pattern of NaCr2S4 for λ = 1.5418 Å (Cu Kα), from a DFT-relaxed cell (GGA-PBE, the Materials Project).
No peak broadening, texture or thermal motion is included.

Atomic structure:
```
data_NaCr2S4
_cell_length_a 11.5244
_cell_length_b 3.5245
_cell_length_c 12.2705
_cell_angle_alpha 90.00
_cell_angle_beta 90.00
_cell_angle_gamma 90.00
_space_group_name_H-M_alt 'P n m a'
_space_group_IT_number 62
loop_
_space_group_symop_operation_xyz
'x,y,z'
'-x,-y,-z'
'-x+1/2,-y,z+1/2'
'x+1/2,y,-z+1/2'
'x+1/2,-y+1/2,-z+1/2'
'-x+1/2,y+1/2,z+1/2'
'-x,y+1/2,-z'
'x,-y+1/2,z'
loop_
_atom_site_label
_atom_site_type_symbol
_atom_site_fract_x
_atom_site_fract_y
_atom_site_fract_z
Na1 Na 0.1352 0.2500 0.0871
Cr1 Cr 0.1033 0.7500 0.4203
Cr2 Cr 0.1518 0.7500 0.7951
S1 S 0.0349 0.7500 0.6162
S2 S 0.0441 0.2500 0.8647
S3 S 0.2120 0.7500 0.2532
S4 S 0.2340 0.2500 0.4606
```

Most intense lines, 10 to 90 degrees two-theta, in order of falling intensity:
- hkl 3 1 1, 2.541 Å, 2θ = 35.33°, rel. 100
- hkl 1 0 2, 5.416 Å, 2θ = 16.37°, rel. 86
- hkl 3 1 2, 2.392 Å, 2θ = 37.61°, rel. 74
- hkl 2 0 4, 2.708 Å, 2θ = 33.08°, rel. 63
- hkl 2 0 3, 3.335 Å, 2θ = 26.73°, rel. 51
- hkl 2 1 0, 3.007 Å, 2θ = 29.71°, rel. 45



(11)
Computed powder X-ray diffraction pattern of NaCr2S4 for λ = 1.5418 Å (Cu Kα), from a DFT-relaxed cell (GGA-PBE, the Materials Project).
No peak broadening, texture or thermal motion is included.

Atomic structure:
```
data_NaCr2S4
_cell_length_a 6.8882
_cell_length_b 14.0533
_cell_length_c 5.9223
_cell_angle_alpha 90.00
_cell_angle_beta 90.00
_cell_angle_gamma 90.00
_space_group_name_H-M_alt 'P m m n'
_space_group_IT_number 59
loop_
_space_group_symop_operation_xyz
'x,y,z'
'-x,-y,-z'
'-x+1/2,-y+1/2,z'
'x+1/2,y+1/2,-z'
'x+1/2,-y,-z'
'-x+1/2,y,z'
'-x,y+1/2,-z'
'x,-y+1/2,z'
loop_
_atom_site_label
_atom_site_type_symbol
_atom_site_fract_x
_atom_site_fract_y
_atom_site_fract_z
Na1 Na 0.2500 0.2500 0.0266
Na2 Na 0.2500 0.7500 0.3233
Cr1 Cr 0.0000 0.0000 0.5000
Cr2 Cr 0.2500 0.5030 0.9863
S1 S 0.0000 0.0957 0.8357
S2 S 0.2500 0.0918 0.3299
S3 S 0.2500 0.5972 0.6621
```

Most intense lines, 10 to 90 degrees two-theta, in order of falling intensity:
- hkl 0 2 0, 7.027 Å, 2θ = 12.60°, rel. 100
- hkl 2 4 1, 2.271 Å, 2θ = 39.68°, rel. 31
- hkl 2 3 1, 2.513 Å, 2θ = 35.73°, rel. 23
- hkl 2 0 3, 1.713 Å, 2θ = 53.50°, rel. 15
- hkl 2 6 1, 1.841 Å, 2θ = 49.52°, rel. 15
- hkl 0 4 2, 2.264 Å, 2θ = 39.81°, rel. 14